HoCu2O4: computed powder diffraction line list (Cu Kα, 1.54184 Å), based on a crystal structure in Alexandria, relaxed with GGA-PBE.

Structural model:
```
HoCu2O4
1.0
-2.8370 2.8370 4.8087
2.8370 -2.8370 4.8087
2.8370 2.8370 -4.8087
Ho Cu O
2 4 8
direct
0.3750 0.1250 0.2500
0.6250 0.8750 0.7500
0.0000 0.0000 0.5000
0.0000 0.5000 0.0000
0.0000 0.5000 0.5000
0.5000 0.5000 0.0000
0.0292 0.7210 0.8952
0.2210 0.8258 0.6919
0.3258 0.1340 0.6048
0.3660 0.4708 0.1919
0.6340 0.5292 0.8081
0.6742 0.8660 0.3952
0.7790 0.1742 0.3081
0.9708 0.2790 0.1048
```

Main lines, by angle (2θ = 5–70°):
2θ (°)	I/Imax
28.98	59
31.54	15
32.07	51
36.63	100
36.78	22
50.07	22
54.59	28
56.49	17
59.52	21
60.06	29


Tc3Pt2: computed powder diffraction line list (Cu Kα, 1.54184 Å), based on a crystal structure in Alexandria, relaxed with GGA-PBE.

Structural model:
```
Tc3Pt2
1.0
1.3799 0.7967 11.3181
-1.3799 0.7967 11.3181
0.0000 -1.5934 11.3181
Tc Pt
3 2
direct
0.0000 0.0000 0.0000
0.1977 0.1977 0.1977
0.8023 0.8023 0.8023
0.3995 0.3995 0.3995
0.6005 0.6005 0.6005
```

Main lines, by angle (2θ = 5–70°):
2θ (°)	I/Imax
7.81	8
15.66	10
23.58	9
37.73	5
39.16	6
39.82	33
39.99	100
46.46	65
67.70	21
67.93	21


Pa3Ru2Rh2: computed powder diffraction line list (Cu Kα, 1.54184 Å), based on a crystal structure in Alexandria, relaxed with GGA-PBE.

Structural model:
```
Pa3Ru2Rh2
1.0
-4.1178 4.1178 4.1178
4.1178 -4.1178 4.1178
4.1178 4.1178 -4.1178
Pa Ru Rh
6 4 4
direct
0.1336 0.7500 0.8836
0.2500 0.6164 0.3664
0.3664 0.2500 0.6164
0.6164 0.3664 0.2500
0.7500 0.8836 0.1336
0.8836 0.1336 0.7500
0.0000 0.3435 0.5000
0.1565 0.1565 0.1565
0.3435 0.5000 0.0000
0.5000 0.0000 0.3435
0.0000 0.8242 0.5000
0.5000 0.0000 0.8242
0.6758 0.6758 0.6758
0.8242 0.5000 0.0000
```

Main lines, by angle (2θ = 5–70°):
2θ (°)	I/Imax
26.51	44
30.71	4
34.44	100
41.01	77
49.50	29
52.09	19
54.59	11
57.02	17
61.69	8
66.16	2


DyTm8Sc6: computed powder diffraction line list (Cu Kα, 1.54184 Å), based on a crystal structure in Alexandria, relaxed with GGA-PBE.

Structural model:
```
DyTm8Sc6
1.0
4.6318 2.6742 5.7275
-4.6318 2.6742 5.7275
0.0000 -5.3484 5.7275
Dy Tm Sc
1 8 6
direct
0.0000 0.0000 0.0000
0.0687 0.6368 0.7721
0.2279 0.9313 0.3632
0.3632 0.2279 0.9313
0.4100 0.4100 0.4100
0.5900 0.5900 0.5900
0.6368 0.7721 0.0687
0.7721 0.0687 0.6368
0.9313 0.3632 0.2279
0.0582 0.2899 0.6114
0.2899 0.6114 0.0582
0.3886 0.9418 0.7101
0.6114 0.0582 0.2899
0.7101 0.3886 0.9418
0.9418 0.7101 0.3886
```

Main lines, by angle (2θ = 5–70°):
2θ (°)	I/Imax
15.47	19
28.25	24
29.92	40
31.28	100
36.26	35
36.90	12
37.10	14
52.23	35
54.83	12
62.13	31


Y3TmSb2: computed powder diffraction line list (Cu Kα, 1.54184 Å), based on a crystal structure in Alexandria, relaxed with GGA-PBE.

Structural model:
```
Y3TmSb2
1.0
4.4683 0.0000 0.0000
0.0000 4.4683 0.0000
0.0000 0.0000 8.4469
Y Tm Sb
3 1 2
direct
0.0000 0.0000 0.0000
0.0000 0.5000 0.6492
0.5000 0.0000 0.3508
0.5000 0.5000 0.0000
0.0000 0.5000 0.2786
0.5000 0.0000 0.7214
```

Main lines, by angle (2θ = 5–70°):
2θ (°)	I/Imax
10.47	17
30.20	89
31.78	36
35.48	100
37.76	22
40.37	56
52.27	34
58.41	28
67.17	17
68.05	15


Number 1 is which compound?
HoCu2O4